No. 1
ReTe8Cl6: simulated X-ray powder pattern (λ = 1.5418 Å (Cu Kα)), based on a structure optimized by DFT (GGA-PBE).
Peak positions follow from Bragg's law for the DFT cell and can differ from measured ones.

Structure:
```
ReTe8Cl6
1.0
6.320 -5.063 0.000
6.320 5.063 0.000
-0.262 0.000 32.322
Re Te Cl
4 32 24
Cartesian
0.000 0.000 0.000
-0.131 0.000 16.161
6.123 4.271 24.242
6.255 -4.271 8.081
3.971 1.194 20.697
2.527 0.066 28.437
4.157 1.108 6.046
2.658 -0.066 12.275
4.628 1.369 29.673
5.910 2.140 10.979
3.821 0.199 2.165
6.599 2.140 5.182
3.690 -0.199 18.326
4.317 0.099 10.060
4.186 -0.099 26.221
6.002 0.993 14.115
6.507 0.993 2.046
4.025 -1.108 22.207
4.102 -1.194 4.536
7.619 1.369 18.810
4.759 -1.369 13.512
8.276 1.194 27.786
8.353 1.108 10.115
5.871 -0.993 30.277
6.376 -0.993 18.207
8.192 0.099 6.101
8.061 -0.099 22.262
8.688 0.199 13.996
5.779 -2.140 27.140
8.557 -0.199 30.157
6.468 -2.140 21.343
7.750 -1.369 2.649
9.720 0.066 20.047
8.221 -1.108 26.276
9.851 -0.066 3.886
8.407 -1.194 11.625
4.590 3.502 0.454
0.634 0.278 18.398
1.453 0.916 24.448
5.764 4.269 26.579
4.803 3.289 16.889
0.765 -0.278 2.237
6.483 4.269 21.904
4.459 2.623 23.939
1.584 -0.916 8.287
7.444 3.289 31.594
7.919 3.502 15.707
7.788 2.623 24.545
4.590 -2.623 7.777
4.459 -3.502 16.615
4.934 -3.289 0.728
10.794 0.916 24.036
7.920 -2.623 8.384
5.895 -4.269 10.418
11.613 0.278 30.085
7.575 -3.289 15.433
6.614 -4.269 5.743
10.925 -0.916 7.874
11.744 -0.278 13.924
7.788 -3.502 31.869
```

Most intense lines, 5 to 70 degrees two-theta, low angle first:
d (Å), two_theta, I/Imax
5.654, 15.67, 100.0
5.063, 17.52, 54.0
4.999, 17.74, 45.7
3.890, 22.86, 49.6
3.605, 24.70, 64.9
3.543, 25.14, 43.9


No. 2
RhCl2: simulated X-ray powder pattern (λ = 1.5418 Å (Cu Kα)), based on a structure optimized by DFT (GGA-PBE).
Peak positions follow from Bragg's law for the DFT cell and can differ from measured ones.

Structure:
```
RhCl2
1.0
5.690 0.000 0.000
0.000 5.690 0.000
0.000 0.000 3.728
Rh Cl
2 4
Cartesian
0.000 0.000 0.000
2.845 2.845 1.864
1.123 1.123 1.864
1.722 3.968 0.000
3.968 1.722 0.000
4.567 4.567 1.864
```

Most intense lines, 5 to 70 degrees two-theta, low angle first:
d (Å), two_theta, I/Imax
4.023, 22.09, 100.0
3.119, 28.62, 53.7
2.735, 32.75, 23.2
2.102, 43.04, 78.8
2.012, 45.07, 24.8
1.691, 54.25, 49.9